Starting from DFT lattice parameters and positions (GGA-PBE), the PXRD pattern of MnTl2Hg was simulated for CuKα.

Largest 12 diffraction maxima, in order of rising 2θ, 2θ = 15–90°:
20.90°, intensity 11
24.18°, intensity 6
34.46°, intensity 100
40.64°, intensity 6
49.52°, intensity 18
54.31°, intensity 3
55.85°, intensity 3
61.73°, intensity 38
65.93°, intensity 2
72.65°, intensity 12
76.56°, intensity 2
82.94°, intensity 17

```
4
Lattice="0.0000 3.6811 3.6811 3.6811 0.0000 3.6811 3.6811 3.6811 0.0000" Properties=species:S:1:pos:R:3 pbc="T T T"
Mn 0.0000 0.0000 0.0000
Tl 1.8406 1.8406 1.8406
Tl 3.6811 3.6811 3.6811
Hg 5.5217 5.5217 5.5217
```